RbDyMg2Br8: computed X-ray powder pattern (copper Kα), based on a DFT-relaxed cell (GGA-PBE, Alexandria).
Lines closer than 0.1° are merged.

Atomic structure:
Lattice parameters (Å, degrees): 6.949 6.982 9.638 76.16 77.41 76.01
Space group P-1 (No. 2)
One atom of each set of equivalent atoms:
Rb  0.000  0.000  0.000 [1 per cell]
Dy  0.000  0.000  0.500 [1 per cell]
Mg  0.455  0.448  0.213 [2 per cell]
Br  0.185  0.725  0.725 [2 per cell]
Br  0.247  0.789  0.288 [2 per cell]
Br  0.281  0.243  0.456 [2 per cell]
Br  0.358  0.312  0.020 [2 per cell]

Main lines, in order of rising 2θ (10 to 90 degrees two-theta):
hkl 0 1 0, 2θ 13.33, intensity 37; hkl 0 1 1, 2θ 14.82, intensity 46; hkl 1 0 1, 2θ 15.05, intensity 48; hkl 1 1 0, 2θ 16.87, intensity 76; hkl 2 1 0, 2θ 27.51, intensity 73; hkl -1 1 2, 2θ 28.17, intensity 97; hkl 1 -1 2, 2θ 28.68, intensity 100; hkl 2 2 0, 2θ 34.16, intensity 37; hkl 0 0 4, 2θ 39.07, intensity 42; hkl 2 -2 0, 2θ 42.15, intensity 54

***

Na8Sb2As: computed X-ray powder pattern (copper Kα), based on a DFT-relaxed cell (GGA-PBE, Alexandria).
Lines closer than 0.1° are merged.

Atomic structure:
Lattice parameters (Å, degrees): 4.998 7.749 9.255 65.27 74.37 89.99
Space group P1 (No. 1)
One atom of each set of equivalent atoms:
Na  0.000  0.000  0.000 [1 per cell]
Na  0.044  0.544  0.909 [1 per cell]
Na  0.200  0.327  0.600 [1 per cell]
Na  0.354  0.853  0.291 [1 per cell]
Na  0.399  0.399  0.200 [1 per cell]
Na  0.603  0.935  0.795 [1 per cell]
Na  0.699  0.665  0.600 [1 per cell]
Na  0.797  0.131  0.405 [1 per cell]
Sb  0.541  0.265  0.917 [1 per cell]
Sb  0.858  0.583  0.282 [1 per cell]
As  0.200  0.929  0.600 [1 per cell]

Main lines, in order of rising 2θ (10 to 90 degrees two-theta):
hkl 0 1 2, 2θ 20.16, intensity 78; hkl 1 1 1, 2θ 21.15, intensity 59; hkl 1 0 2, 2θ 24.37, intensity 36; hkl 0 0 3, 2θ 33.49, intensity 19; hkl 1 2 3, 2θ 33.72, intensity 100; hkl 2 0 1, 2θ 35.94, intensity 29; hkl 0 3 0, 2θ 38.71, intensity 20; hkl 1 3 2, 2θ 39.26, intensity 21; hkl 1 -1 3, 2θ 39.95, intensity 36; hkl -2 1 1, 2θ 41.55, intensity 24

***

Ac3LaNd5: computed X-ray powder pattern (copper Kα), based on a DFT-relaxed cell (GGA-PBE, Alexandria).
Lines closer than 0.1° are merged.

Atomic structure:
Lattice parameters (Å, degrees): 13.733 8.547 12.877 90.00 96.46 90.00
Space group C2/m (No. 12)
One atom of each set of equivalent atoms:
Ac  0.000  0.000  0.000 [2 per cell]
Ac  0.000  0.000  0.500 [2 per cell]
Ac  0.149  0.500  0.214 [4 per cell]
Ac  0.224  0.500  0.489 [4 per cell]
La  0.131  0.000  0.257 [4 per cell]
Nd  0.000  0.335  0.000 [4 per cell]
Nd  0.032  0.500  0.636 [4 per cell]
Nd  0.124  0.201  0.770 [8 per cell]
Nd  0.247  0.500  0.972 [4 per cell]

Main lines, in order of rising 2θ (10 to 90 degrees two-theta):
hkl 0 2 0, 2θ 20.79, intensity 74; hkl 2 2 -1, 2θ 25.15, intensity 29; hkl 2 2 1, 2θ 25.97, intensity 60; hkl 3 1 2, 2θ 27.37, intensity 27; hkl 0 0 4, 2θ 27.89, intensity 72; hkl 4 0 -2, 2θ 28.23, intensity 100; hkl 1 1 -4, 2θ 29.85, intensity 44; hkl 4 0 2, 2θ 31.07, intensity 62; hkl 2 2 3, 2θ 33.40, intensity 37; hkl 4 2 -2, 2θ 35.35, intensity 41

***

Pu5Ge4Os: computed X-ray powder pattern (copper Kα), based on a DFT-relaxed cell (GGA-PBE, Alexandria).
Lines closer than 0.1° are merged.

Atomic structure:
Lattice parameters (Å, degrees): 3.819 3.819 14.367 90.00 90.00 90.00
Space group P4/mmm (No. 123)
One atom of each set of equivalent atoms:
Pu  0.000  0.000  0.000 [1 per cell]
Pu  0.000  0.000  0.202 [2 per cell]
Pu  0.000  0.000  0.404 [2 per cell]
Ge  0.500  0.500  0.097 [2 per cell]
Ge  0.500  0.500  0.313 [2 per cell]
Os  0.500  0.500  0.500 [1 per cell]

Main lines, in order of rising 2θ (10 to 90 degrees two-theta):
hkl 1 0 0, 2θ 23.29, intensity 32; hkl 1 1 0, 2θ 33.17, intensity 80; hkl 1 0 5, 2θ 39.24, intensity 100; hkl 1 1 5, 2θ 46.13, intensity 11; hkl 2 0 0, 2θ 47.62, intensity 30; hkl 2 1 5, 2θ 63.35, intensity 50; hkl 1 1 10, 2θ 74.86, intensity 15; hkl 3 1 0, 2θ 79.34, intensity 14; hkl 3 0 5, 2θ 82.96, intensity 12; hkl 2 0 10, 2θ 84.37, intensity 11